# 1
Diffraction record for Ba2HoGeSe5. The XRD peak list is simulated, not measured: it uses a crystal structure in Alexandria, relaxed with PBE and a wavelength of 1.5418 Å.
Peak positions follow from Bragg's law for the DFT cell and can differ from measured ones.

Largest 10 diffraction maxima, in order of rising 2θ, 2θ = 10–90°:
- (0 2 2), 2θ = 16.44°, I 11
- (0 2 3), 2θ = 22.35°, I 16
- (1 3 0), 2θ = 24.50°, I 11
- (1 1 3), 2θ = 28.90°, I 100
- (0 6 1), 2θ = 29.31°, I 45
- (1 5 2), 2θ = 34.01°, I 38
- (2 0 0), 2θ = 40.36°, I 27
- (1 1 6), 2θ = 46.34°, I 10
- (1 7 4), 2θ = 48.25°, I 17
- (2 6 1), 2θ = 50.66°, I 19

Structure:
```
data_Ba2HoGeSe5
_chemical_formula_sum 'Ba8 Ho4 Ge4 Se20'
_cell_length_a 4.469
_cell_length_b 18.790
_cell_length_c 13.169
_cell_angle_alpha 90.00
_cell_angle_beta 90.00
_cell_angle_gamma 90.00
_symmetry_space_group_name_H-M 'C m c 21'
_symmetry_Int_Tables_number 36
_symmetry_space_group_name_Hall 'C 2c -2'
loop_
_atom_site_label
_atom_site_fract_x
_atom_site_fract_y
_atom_site_fract_z
Ba1 0.000 0.122 0.000
Ba2 0.000 0.125 0.640
Ho1 0.000 0.204 0.339
Ge1 0.000 0.443 0.750
Se1 0.000 0.044 0.335
Se2 0.000 0.300 0.977
Se3 0.000 0.315 0.689
Se4 0.000 0.350 0.321
Se5 0.000 0.500 0.084
```

=====

# 2
Diffraction record for Ba3In8Ge3. The XRD peak list is simulated, not measured: it uses a crystal structure in Alexandria, relaxed with PBE and a wavelength of 1.5418 Å.
Peak positions follow from Bragg's law for the DFT cell and can differ from measured ones.

Largest 10 diffraction maxima, in order of rising 2θ, 2θ = 10–90°:
- (1 3 0), 2θ = 29.38°, I 44
- (1 2 3), 2θ = 30.28°, I 100
- (0 3 3), 2θ = 30.47°, I 21
- (1 3 2), 2θ = 32.09°, I 16
- (2 0 0), 2θ = 34.85°, I 50
- (1 4 1), 2θ = 36.85°, I 17
- (0 0 6), 2θ = 38.50°, I 23
- (1 3 4), 2θ = 39.22°, I 19
- (2 0 6), 2θ = 52.90°, I 18
- (3 2 3), 2θ = 59.67°, I 20

Structure:
```
data_Ba3In8Ge3
_chemical_formula_sum 'Ba6 In16 Ge6'
_cell_length_a 5.149
_cell_length_b 11.300
_cell_length_c 14.029
_cell_angle_alpha 90.00
_cell_angle_beta 90.00
_cell_angle_gamma 90.00
_symmetry_space_group_name_H-M 'I m m m'
_symmetry_Int_Tables_number 71
_symmetry_space_group_name_Hall '-I 2 2'
loop_
_atom_site_label
_atom_site_fract_x
_atom_site_fract_y
_atom_site_fract_z
Ba1 0.000 0.000 0.000
Ba2 0.000 0.000 0.324
In1 0.000 0.277 0.133
In2 0.000 0.368 0.338
Ge1 0.000 0.211 0.500
Ge2 0.000 0.500 0.000
```